Structure and theoretical PXRD pattern of TiFe2O4 (a structure optimized by DFT (PBE+U); λ = 1.5418 Å (Cu Kα)).
Peak positions follow from Bragg's law for the DFT cell and can differ from measured ones.

Crystal structure
abc: 6.1822 6.1822 20.1555
angles: 97.17 97.17 58.39
Atoms (fractional coordinates):
Ti1 0.0000 0.0000 0.0000
Ti2 0.1411 0.1411 0.8804
Ti3 0.3781 0.3781 0.6271
Ti4 0.5038 0.5038 0.5021
Ti5 0.6267 0.6267 0.3760
Ti6 0.7537 0.7537 0.2515
Ti7 0.8735 0.8735 0.1249
Ti8 0.9122 0.9122 0.7244
Fe1 0.0846 0.0846 0.2828
Fe2 0.1215 0.6218 0.8787
Fe3 0.1222 0.6227 0.3810
Fe4 0.1633 0.1633 0.4780
Fe5 0.2512 0.2512 0.7567
Fe6 0.3321 0.3321 0.0387
Fe7 0.3702 0.8694 0.1300
Fe8 0.3796 0.8700 0.6325
Fe9 0.4118 0.4118 0.2266
Fe10 0.5828 0.5828 0.7877
Fe11 0.6218 0.1215 0.8787
Fe12 0.6227 0.1222 0.3810
Fe13 0.6597 0.6597 0.9740
Fe14 0.8356 0.8356 0.5350
Fe15 0.8694 0.3702 0.1300
Fe16 0.8700 0.3796 0.6325
O1 0.0314 0.5827 0.1931
O2 0.0344 0.0344 0.1837
O3 0.0681 0.0681 0.6954
O4 0.0691 0.5707 0.6904
O5 0.1564 0.1564 0.0639
O6 0.1564 0.7103 0.0680
O7 0.2076 0.2076 0.5811
O8 0.2156 0.6588 0.5684
O9 0.2778 0.8357 0.9431
O10 0.2912 0.2912 0.9382
O11 0.3348 0.3348 0.4488
O12 0.3355 0.7840 0.4441
O13 0.4149 0.9470 0.8253
O14 0.4158 0.4158 0.8198
O15 0.4568 0.4568 0.3280
O16 0.4613 0.9082 0.3184
O17 0.5390 0.5390 0.6856
O18 0.5707 0.0691 0.6904
O19 0.5827 0.0314 0.1931
O20 0.5839 0.5839 0.1969
O21 0.6588 0.2156 0.5684
O22 0.6613 0.6613 0.5640
O23 0.7055 0.7055 0.0758
O24 0.7103 0.1564 0.0680
O25 0.7840 0.3355 0.4441
O26 0.7879 0.7879 0.4345
O27 0.8338 0.8338 0.9451
O28 0.8357 0.2778 0.9431
O29 0.9082 0.4613 0.3184
O30 0.9094 0.9094 0.3131
O31 0.9443 0.9443 0.8160
O32 0.9470 0.4149 0.8253

The 10 most intense peaks (2θ = 5–70°), by angle:
28.91°, 3.088 Å, intensity 32
29.04°, 3.075 Å, intensity 29
29.57°, 3.021 Å, intensity 31
33.69°, 2.661 Å, intensity 71
34.67°, 2.587 Å, intensity 97
34.76°, 2.581 Å, intensity 100
42.33°, 2.135 Å, intensity 38
55.81°, 1.647 Å, intensity 28
59.90°, 1.544 Å, intensity 44
60.19°, 1.537 Å, intensity 44